Entry 1:
The following is a calculated X-ray powder pattern of Li5PPd6. It was derived from a cell relaxed with GGA-PBE, using Cu Kα (λ = 1.5418 Å).
No peak broadening, texture or thermal motion is included.

Structural model:
a b c (Å): 13.236 5.966 4.216
angles (deg): 90.00 108.53 90.00
Space group C2/m (No. 12)
One atom of each set of equivalent atoms:
Li 0.000 0.000 0.000
Li 0.167 0.000 0.668
Li 0.172 0.500 0.674
P 0.000 0.500 0.000
Pd 0.000 0.262 0.500
Pd 0.161 0.256 0.162

Largest 8 diffraction maxima, in order of rising 2θ, 10° ≤ 2θ ≤ 90°:
two_theta  I/Imax  index
29.95  385  0 2 0
30.10  764  2 0 1
42.96  1000  2 0 -2
43.26  193  6 0 0
53.21  150  2 2 -2
53.51  143  6 2 0
70.69  184  0 0 3
78.61  129  0 2 3

Entry 2:
The following is a calculated X-ray powder pattern of MnBeFeNiPb. It was derived from a cell relaxed with GGA-PBE, using Cu Kα (λ = 1.5418 Å).
No peak broadening, texture or thermal motion is included.

Structural model:
a b c (Å): 3.7246 3.7246 5.7363
angles (deg): 90.00 90.00 120.00
Space group P3m1 (No. 156)
One atom of each set of equivalent atoms:
Mn 0.0000 0.0000 0.0000
Be 0.3333 0.6667 0.2186
Fe 0.6667 0.3333 0.1153
Ni 0.0000 0.0000 0.4053
Pb 0.3333 0.6667 0.6947

Largest 8 diffraction maxima, in order of rising 2θ, 10° ≤ 2θ ≤ 90°:
two_theta  I/Imax  index
15.45  169  0 0 1
27.65  203  1 0 0
31.83  1000  0 1 1
42.16  584  1 0 2
48.91  379  1 1 0
59.54  170  2 0 1
66.51  149  0 2 2
86.80  150  2 1 2

Entry 3:
The following is a calculated X-ray powder pattern of Na8B13C3. It was derived from a cell relaxed with GGA-PBE, using Cu Kα (λ = 1.5418 Å).
No peak broadening, texture or thermal motion is included.

Structural model:
a b c (Å): 2.905 17.237 10.343
angles (deg): 90.00 90.00 90.00
Space group Amm2 (No. 38)
One atom of each set of equivalent atoms:
Na 0.000 0.125 0.000
Na 0.000 0.125 0.497
Na 0.500 0.125 0.249
Na 0.500 0.127 0.747
B 0.000 0.000 0.335
B 0.000 0.000 0.807
B 0.000 0.249 0.330
B 0.000 0.250 0.166
B 0.500 0.000 0.095
B 0.500 0.000 0.573
B 0.500 0.000 0.922
B 0.500 0.250 0.080
B 0.500 0.250 0.416
C 0.000 0.000 0.175
C 0.000 0.000 0.655
C 0.500 0.000 0.415

Largest 8 diffraction maxima, in order of rising 2θ, 10° ≤ 2θ ≤ 90°:
two_theta  I/Imax  index
34.69  112  0 0 4
35.44  180  1 0 2
40.69  486  0 4 4
41.35  1000  1 4 2
41.93  362  0 8 0
62.67  175  1 0 6
76.20  126  1 12 2
78.28  168  1 8 6

Entry 4:
The following is a calculated X-ray powder pattern of Sr4CaTl2. It was derived from a cell relaxed with GGA-PBE, using Cu Kα (λ = 1.5418 Å).
No peak broadening, texture or thermal motion is included.

Structural model:
a b c (Å): 5.8666 5.8666 31.9776
angles (deg): 90.00 90.00 120.00
Space group R-3m (No. 166, hexagonal axes)
One atom of each set of equivalent atoms:
Sr 0.0000 0.0000 0.1017
Sr 0.0000 0.0000 0.2953
Ca 0.0000 0.0000 0.5000
Tl 0.0000 0.0000 0.4029

Largest 8 diffraction maxima, in order of rising 2θ, 10° ≤ 2θ ≤ 90°:
two_theta  I/Imax  index
16.63  382  0 0 6
17.68  450  1 0 1
20.71  453  1 0 4
30.47  1000  1 1 0
33.10  774  1 0 10
34.91  381  1 1 6
45.61  316  0 2 10
55.85  347  2 1 10

Entry 5:
The following is a calculated X-ray powder pattern of Hg3SI2. It was derived from a cell relaxed with GGA-PBE, using Cu Kα (λ = 1.5418 Å).
No peak broadening, texture or thermal motion is included.

Structural model:
a b c (Å): 15.667 7.613 7.373
angles (deg): 90.00 90.00 90.00
Space group Cmc2_1 (No. 36)
One atom of each set of equivalent atoms:
Hg 0.000 0.087 0.000
Hg 0.169 0.222 0.334
S 0.000 0.198 0.323
I 0.142 0.300 0.823

Largest 8 diffraction maxima, in order of rising 2θ, 10° ≤ 2θ ≤ 90°:
two_theta  I/Imax  index
12.93  607  1 1 0
23.37  784  0 2 0
23.93  552  3 1 1
24.14  986  0 0 2
26.73  581  2 0 2
33.38  634  4 0 2
33.85  1000  0 2 2
34.34  682  6 0 0

Entry 6:
The following is a calculated X-ray powder pattern of RbCaCu2. It was derived from a cell relaxed with GGA-PBE, using Cu Kα (λ = 1.5418 Å).
No peak broadening, texture or thermal motion is included.

Structural model:
a b c (Å): 8.338 8.338 7.401
angles (deg): 90.00 90.00 90.00
Space group I-42d (No. 122)
One atom of each set of equivalent atoms:
Rb 0.000 0.000 0.000
Ca 0.000 0.000 0.500
Cu 0.212 0.250 0.625

Largest 8 diffraction maxima, in order of rising 2θ, 10° ≤ 2θ ≤ 90°:
two_theta  I/Imax  index
26.77  215  2 1 1
28.48  1000  1 1 2
30.32  776  2 2 0
42.08  598  3 1 2
43.41  250  4 0 0
54.24  296  2 0 4
62.05  145  5 1 2
71.89  192  4 2 4

Please write out number 1 again, unchanged.
The following is a calculated X-ray powder pattern of Li5PPd6. It was derived from a cell relaxed with GGA-PBE, using Cu Kα (λ = 1.5418 Å).
No peak broadening, texture or thermal motion is included.

Structural model:
a b c (Å): 13.236 5.966 4.216
angles (deg): 90.00 108.53 90.00
Space group C2/m (No. 12)
One atom of each set of equivalent atoms:
Li 0.000 0.000 0.000
Li 0.167 0.000 0.668
Li 0.172 0.500 0.674
P 0.000 0.500 0.000
Pd 0.000 0.262 0.500
Pd 0.161 0.256 0.162

Largest 8 diffraction maxima, in order of rising 2θ, 10° ≤ 2θ ≤ 90°:
two_theta  I/Imax  index
29.95  385  0 2 0
30.10  764  2 0 1
42.96  1000  2 0 -2
43.26  193  6 0 0
53.21  150  2 2 -2
53.51  143  6 2 0
70.69  184  0 0 3
78.61  129  0 2 3